Entry 1:
Simulated powder diffractogram of LiErMgIn2 for copper Kα, from a crystal structure in Alexandria, relaxed with PBE.
Peak positions follow from Bragg's law for the DFT cell and can differ from measured ones.

Main lines, low angle first (2θ from 10° to 90°):
2theta  I_rel  index
13.81  36  0 1 0
25.17  18  1 1 1
28.01  37  0 0 2
31.36  12  0 1 2
31.46  36  2 0 0
34.50  9  2 1 0
35.08  100  1 2 1
42.62  25  2 0 2
44.99  11  2 1 2
47.63  12  1 3 1
54.26  17  1 2 3
58.38  24  3 2 1

Structural model:
Unit cell a=5.6875 b=6.4141 c=6.3707 alpha=90.00 beta=90.00 gamma=90.00
Space group Pmma (No. 51)
Inequivalent atoms, fractional coordinates:
Li (0.0000, 0.0000, 0.0000)
Er (0.2500, 0.5000, 0.2070)
Mg (0.2500, 0.0000, 0.3641)
In (0.2500, 0.2680, 0.7298)

Entry 2:
Simulated powder diffractogram of MoOs8 for copper Kα, from a crystal structure in Alexandria, relaxed with PBE.
Peak positions follow from Bragg's law for the DFT cell and can differ from measured ones.

Main lines, low angle first (2θ from 10° to 90°):
2theta  I_rel  index
15.23  2  1 1 0
21.61  1  2 0 0
25.50  1  1 0 1
33.66  1  2 1 1
40.35  100  3 0 1
46.86  33  3 3 0
47.11  16  0 0 2
68.43  11  6 0 0
68.63  21  3 3 2
82.55  26  6 3 1
82.92  13  3 0 3
87.24  12  6 0 2

Structural model:
Unit cell a=8.2260 b=8.2260 c=3.8582 alpha=90.00 beta=90.00 gamma=90.00
Space group I4/mmm (No. 139)
Inequivalent atoms, fractional coordinates:
Mo (0.0000, 0.0000, 0.0000)
Os (0.0000, 0.3337, 0.0000)
Os (0.1686, 0.1686, 0.5000)